Structure and calculated X-ray diffraction stick pattern of KScS4 (DFT lattice parameters and positions (PBE); Cu Ka).
Peak positions follow from Bragg's law for the DFT cell and can differ from measured ones.

Largest 10 diffraction maxima, sorted by position, 2θ = 15–90°:
index	2θ/deg	intensity
2 0 0	31.12	17.7
1 1 2	31.64	100.0
0 0 3	34.17	13.5
2 1 1	36.78	58.2
2 0 2	38.80	25.5
2 1 2	41.98	17.6
3 1 0	50.19	31.8
2 2 2	50.55	9.4
2 1 4	59.12	23.6
4 0 2	69.66	16.0

Structure:
a b c (Å): 5.748 5.748 7.872
angles (deg): 90.00 90.00 90.00
Space group P4/nbm (No. 125, origin choice 2)
Asymmetric unit:
K1 0.250 0.250 0.000 [2 per cell]
Sc1 0.250 0.250 0.500 [2 per cell]
S1 0.120 0.620 0.305 [8 per cell]